This entry pairs a crystal structure of TlSnAu with its theoretical X-ray diffraction stick pattern. Radiation: a wavelength of 1.5418 Å. Structure: a DFT-relaxed cell (GGA-PBE, Alexandria).
No peak broadening, texture or thermal motion is included.

Top 12 peaks for 2θ from 10° to 80°, low angle first:
2θ 16.40, 5.406 Å, I = 6
2θ 29.81, 2.997 Å, I = 100
2θ 39.38, 2.288 Å, I = 17
2θ 39.68, 2.272 Å, I = 27
2θ 45.47, 1.995 Å, I = 22
2θ 45.76, 1.983 Å, I = 9
2θ 50.15, 1.819 Å, I = 18
2θ 61.91, 1.499 Å, I = 11
2θ 65.57, 1.424 Å, I = 8
2θ 65.98, 1.416 Å, I = 9
2θ 74.32, 1.276 Å, I = 9
2θ 75.69, 1.257 Å, I = 5

Atomic structure:
Unit cell a=5.446 b=4.576 c=6.698 alpha=90.00 beta=96.95 gamma=90.00
Element x y z (fractional)
1 Tl 0.176 0.000 0.317
2 Tl 0.824 0.000 0.683
3 Sn 0.247 0.500 0.843
4 Sn 0.753 0.500 0.157
5 Au 0.500 0.000 0.000
6 Au 0.500 0.500 0.500